This entry pairs a crystal structure of K2ZnOsO6 with its simulated powder diffraction line list. Radiation: Cu Kα, 1.54184 Å. Structure: a crystal structure in Alexandria, relaxed with PBE.

Largest 10 diffraction maxima, low angle first, 10° ≤ 2θ ≤ 90°:
- 16.94°, intensity 100
- 24.01°, intensity 18
- 29.58°, intensity 36
- 34.26°, intensity 16
- 38.34°, intensity 26
- 38.45°, intensity 11
- 45.78°, intensity 10
- 49.17°, intensity 24
- 58.42°, intensity 19
- 64.15°, intensity 10

Crystal structure
a b c (Å): 6.0402 6.0402 5.2545
angles (deg): 90.00 90.00 120.00
Space group P-3m1 (No. 164)
Asymmetric unit:
K (0.3333, 0.6667, 0.2075) x2
Zn (0.0000, 0.0000, 0.5000) x1
Os (0.0000, 0.0000, 0.0000) x1
O (0.1451, 0.2903, 0.7863) x6

This entry pairs a crystal structure of AgB2Pb2O6 with its simulated powder diffraction line list. Radiation: Cu Kα, 1.54184 Å. Structure: a crystal structure in Alexandria, relaxed with PBE.

Largest 10 diffraction maxima, low angle first, 10° ≤ 2θ ≤ 90°:
- 19.83°, intensity 37
- 21.64°, intensity 36
- 27.78°, intensity 48
- 31.66°, intensity 100
- 33.57°, intensity 83
- 40.33°, intensity 35
- 44.11°, intensity 27
- 46.81°, intensity 35
- 57.91°, intensity 26
- 58.82°, intensity 30

Crystal structure
a b c (Å): 5.3394 5.3394 17.8561
angles (deg): 90.00 90.00 120.00
Space group R-3m (No. 166, hexagonal axes)
Asymmetric unit:
Ag (0.0000, 0.0000, 0.0000) x3
B (0.0000, 0.0000, 0.4202) x6
Pb (0.0000, 0.0000, 0.2113) x6
O (0.0323, 0.5161, 0.2440) x18

This entry pairs a crystal structure of P3Ru2N with its simulated powder diffraction line list. Radiation: Cu Kα, 1.54184 Å. Structure: a crystal structure in Alexandria, relaxed with PBE.

Largest 10 diffraction maxima, low angle first, 10° ≤ 2θ ≤ 90°:
- 18.05°, intensity 34
- 18.31°, intensity 48
- 31.68°, intensity 80
- 32.16°, intensity 40
- 36.55°, intensity 33
- 36.69°, intensity 42
- 45.29°, intensity 100
- 45.64°, intensity 49
- 57.04°, intensity 36
- 75.14°, intensity 27

Crystal structure
a b c (Å): 2.8395 9.8309 5.5667
angles (deg): 90.00 90.00 90.00
Space group Amm2 (No. 38)
Asymmetric unit:
P (0.0000, 0.0000, 0.0000) x2
P (0.0000, 0.1526, 0.5309) x4
Ru (0.5000, 0.1710, 0.1853) x4
N (0.0000, 0.0000, 0.6863) x2

This entry pairs a crystal structure of La2VGeN with its simulated powder diffraction line list. Radiation: Cu Kα, 1.54184 Å. Structure: a crystal structure in Alexandria, relaxed with PBE.

Largest 10 diffraction maxima, low angle first, 10° ≤ 2θ ≤ 90°:
- 22.53°, intensity 12
- 24.17°, intensity 13
- 33.27°, intensity 100
- 34.44°, intensity 52
- 41.55°, intensity 9
- 45.99°, intensity 11
- 49.50°, intensity 18
- 58.70°, intensity 22
- 60.95°, intensity 35
- 69.87°, intensity 13

Crystal structure
a b c (Å): 5.2085 5.2085 3.9464
angles (deg): 90.00 90.00 90.00
Space group P4/mmm (No. 123)
Asymmetric unit:
La (0.0000, 0.5000, 0.0000) x2
V (0.0000, 0.0000, 0.5000) x1
Ge (0.5000, 0.5000, 0.5000) x1
N (0.0000, 0.0000, 0.0000) x1

This entry pairs a crystal structure of BC11 with its simulated powder diffraction line list. Radiation: Cu Kα, 1.54184 Å. Structure: a crystal structure in Alexandria, relaxed with PBE.

Largest 10 diffraction maxima, low angle first, 10° ≤ 2θ ≤ 90°:
- 14.11°, intensity 3
- 21.21°, intensity 2
- 43.29°, intensity 98
- 43.66°, intensity 100
- 74.17°, intensity 26
- 74.29°, intensity 38
- 75.32°, intensity 12
- 89.38°, intensity 4
- 89.56°, intensity 4
- 89.72°, intensity 7

Crystal structure
a b c (Å): 13.2841 2.5234 4.4402
angles (deg): 90.00 109.10 90.00
Space group Cm (No. 8)
Asymmetric unit:
B (0.0000, 0.0000, 0.0000) x2
C (0.1223, 0.5000, 0.6159) x2
C (0.1261, 0.0000, 0.1191) x2
C (0.1645, 0.0000, 0.8236) x2
C (0.1651, 0.5000, 0.3243) x2
C (0.2877, 0.5000, 0.4455) x2
C (0.2893, 0.0000, 0.9464) x2
C (0.3301, 0.0000, 0.6521) x2
C (0.3303, 0.5000, 0.1558) x2
C (0.4504, 0.0000, 0.7602) x2
C (0.4537, 0.5000, 0.2860) x2
C (0.4961, 0.0000, 0.4892) x2

This entry pairs a crystal structure of Rb2SrI7 with its simulated powder diffraction line list. Radiation: Cu Kα, 1.54184 Å. Structure: a crystal structure in Alexandria, relaxed with PBE.

Largest 10 diffraction maxima, low angle first, 10° ≤ 2θ ≤ 90°:
- 12.30°, intensity 22
- 14.08°, intensity 29
- 23.51°, intensity 100
- 24.75°, intensity 53
- 28.38°, intensity 83
- 38.00°, intensity 67
- 40.56°, intensity 31
- 47.42°, intensity 29
- 48.10°, intensity 34
- 72.11°, intensity 23

Crystal structure
a b c (Å): 8.8965 8.8965 14.3898
angles (deg): 90.00 90.00 90.00
Space group I4/mmm (No. 139)
Asymmetric unit:
Rb (0.0000, 0.5000, 0.2500) x4
Sr (0.0000, 0.0000, 0.0000) x2
I (0.0000, 0.0000, 0.2222) x4
I (0.0000, 0.0000, 0.5000) x2
I (0.2430, 0.2430, 0.5000) x8

This entry pairs a crystal structure of SrPm2MoN4 with its simulated powder diffraction line list. Radiation: Cu Kα, 1.54184 Å. Structure: a crystal structure in Alexandria, relaxed with PBE.

Largest 10 diffraction maxima, low angle first, 10° ≤ 2θ ≤ 90°:
- 25.93°, intensity 30
- 28.82°, intensity 87
- 29.99°, intensity 100
- 34.17°, intensity 56
- 36.47°, intensity 75
- 39.16°, intensity 27
- 50.09°, intensity 51
- 51.75°, intensity 24
- 58.81°, intensity 29
- 60.29°, intensity 25

Crystal structure
a b c (Å): 3.5339 12.3909 12.3877
angles (deg): 90.00 90.00 90.00
Space group Cmcm (No. 63)
Asymmetric unit:
Sr (0.0000, 0.0840, 0.2500) x4
Pm (0.0000, 0.3706, 0.0384) x8
Mo (0.0000, 0.1772, 0.7500) x4
N (0.0000, 0.0000, 0.0000) x4
N (0.0000, 0.2615, 0.6232) x8
N (0.0000, 0.4099, 0.2500) x4

This entry pairs a crystal structure of CrCN with its simulated powder diffraction line list. Radiation: Cu Kα, 1.54184 Å. Structure: a crystal structure in Alexandria, relaxed with PBE.

Largest 10 diffraction maxima, low angle first, 10° ≤ 2θ ≤ 90°:
- 23.03°, intensity 58
- 39.14°, intensity 24
- 41.50°, intensity 100
- 47.06°, intensity 8
- 50.01°, intensity 35
- 55.74°, intensity 25
- 69.31°, intensity 19
- 69.49°, intensity 17
- 74.13°, intensity 12
- 84.13°, intensity 9

Crystal structure
a b c (Å): 2.7113 2.7113 11.5850
angles (deg): 90.00 90.00 120.00
Space group R3m (No. 160, hexagonal axes)
Asymmetric unit:
Cr (0.0000, 0.0000, 0.0000) x3
C (0.0000, 0.0000, 0.4482) x3
N (0.0000, 0.0000, 0.5607) x3